This entry pairs a crystal structure of Tm5MgSc5 with its computed powder XRD pattern. Radiation: Cu Kα (weighted mean of Kα1 and Kα2). Structure: DFT lattice parameters and positions (PBE).
Peak positions follow from Bragg's law for the DFT cell and can differ from measured ones.

```
data_Tm5MgSc5
_symmetry_space_group_name_H-M 'P 1'
_symmetry_Int_Tables_number 1
_cell_length_a 5.7738
_cell_length_b 5.7738
_cell_length_c 10.8169
_cell_angle_alpha 90.00
_cell_angle_beta 90.00
_cell_angle_gamma 120.00
loop_
_symmetry_equiv_pos_as_xyz
'x,y,z'
loop_
_atom_site_label
_atom_site_type_symbol
_atom_site_fract_x
_atom_site_fract_y
_atom_site_fract_z
Tm1 Tm 0.0000 0.0000 0.0000
Tm2 Tm 0.3333 0.6667 0.3098
Tm3 Tm 0.3333 0.6667 0.6902
Tm4 Tm 0.6667 0.3333 0.1739
Tm5 Tm 0.6667 0.3333 0.8261
Mg1 Mg 0.3333 0.6667 0.0000
Sc1 Sc 0.0000 0.0000 0.2699
Sc2 Sc 0.0000 0.0000 0.7301
Sc3 Sc 0.3328 0.1664 0.5000
Sc4 Sc 0.8336 0.1664 0.5000
Sc5 Sc 0.8336 0.6672 0.5000
```

Main lines, by angle (2θ from 10° to 90°):
19.56 deg, 4.539 Å, I = 31, (1 0 1)
24.24 deg, 3.672 Å, I = 43, (1 0 2)
30.57 deg, 2.925 Å, I = 100, (1 0 3)
30.98 deg, 2.887 Å, I = 98, (1 1 0)
44.08 deg, 2.055 Å, I = 26, (2 0 3)
54.85 deg, 1.674 Å, I = 39, (2 1 3)